Simulated powder X-ray diffraction pattern
Compound: SmDy6In
Radiation: a wavelength of 1.5418 Å
Structure: a cell relaxed with GGA-PBE
Peak positions follow from Bragg's law for the DFT cell and can differ from measured ones.

Structure:
```
8
Lattice="4.907 0.000 0.000 0.000 4.907 0.000 0.000 0.000 10.044" Properties=species:S:1:pos:R:3 pbc="T T T"
Sm 0.000 0.000 0.000
Dy 0.000 2.453 2.583
Dy 0.000 2.453 7.460
Dy 2.453 0.000 2.583
Dy 2.453 0.000 7.460
Dy 2.453 2.453 0.000
Dy 2.453 2.453 5.022
In 0.000 0.000 5.022
```

Principal peaks in the range 5 to 70 degrees two-theta, by angle:
d (Å)	2θ/deg	I (rel.)
2.854	31.34	1000
2.511	35.76	174
2.453	36.63	331
1.755	52.12	237
1.735	52.77	116
1.508	61.51	141
1.482	62.67	276
1.427	65.39	120